Diffraction record for SrNdMn4O12. The X-ray diffraction stick pattern is computed, not measured: it uses a DFT-relaxed cell (GGA+U, the Materials Project) and Cu Ka.
Kinematic intensities with the Lorentz-polarization factor, no thermal factor.

Cell and atoms:
Cell: 5.377 5.377 7.600 Å, 90.00 90.00 90.00°
Space group P4/mmm (No. 123)
Asymmetric unit:
Sr 0.000 0.000 0.000 x1
Nd 0.500 0.500 0.500 x1
Mn 0.000 0.500 0.248 x4
O 0.000 0.500 0.000 x2
O 0.000 0.500 0.500 x2
O 0.257 0.257 0.260 x8

Top 8 peaks for 10° ≤ 2θ ≤ 90°, by angle:
d [Å]  two_theta  intensity  hkl
4.390  20.2  833  1 0 1
2.688  33.3  1000  2 0 0
2.292  39.3  449  2 1 1
1.901  47.9  465  2 2 0
1.744  52.5  195  2 1 3
1.552  59.6  377  2 0 4
1.344  70.0  256  4 0 0
1.202  79.8  160  4 2 0